K2H2I3: theoretical powder diffractogram (Cu Kα (weighted mean of Kα1 and Kα2)), based on a DFT-relaxed cell (GGA-PBE, Alexandria).
Lines closer than 0.1° are merged.

Atomic structure:
abc: 4.8683 7.2982 9.0447
angles: 69.73 76.89 73.57
Fractional coordinates of all 7 atoms:
K 0.0021 0.2447 0.2530
K 0.9979 0.7553 0.7470
H 0.2594 0.3637 0.7067
H 0.7406 0.6363 0.2933
I 0.3803 0.1783 0.5995
I 0.5000 0.5000 0.0000
I 0.6197 0.8217 0.4005

Peak list (6 most intense, 10 to 90 degrees two-theta, by angle)
| d_spacing | 2theta | I/Imax |
| --- | --- | --- |
| 6.219 | 14.2 | 55.8 |
| 4.592 | 19.3 | 71.3 |
| 4.166 | 21.3 | 75.4 |
| 3.483 | 25.6 | 67.1 |
| 3.388 | 26.3 | 100.0 |
| 3.356 | 26.6 | 87.6 |

---

NaTlIn2Re: theoretical powder diffractogram (Cu Kα (weighted mean of Kα1 and Kα2)), based on a DFT-relaxed cell (GGA-PBE, Alexandria).
Lines closer than 0.1° are merged.

Atomic structure:
abc: 5.3021 5.3021 5.3135
angles: 90.00 90.00 90.00
Fractional coordinates of all 5 atoms:
Na 0.0000 0.0000 0.0000
Tl 0.0000 0.0000 0.5000
In 0.0000 0.5000 0.0000
In 0.5000 0.0000 0.0000
Re 0.5000 0.5000 0.5000

Peak list (6 most intense, 10 to 90 degrees two-theta, by angle)
| d_spacing | 2theta | I/Imax |
| --- | --- | --- |
| 3.063 | 29.2 | 100.0 |
| 2.653 | 33.8 | 59.9 |
| 1.876 | 48.5 | 43.2 |
| 1.600 | 57.6 | 44.3 |
| 1.532 | 60.4 | 14.8 |
| 1.217 | 78.6 | 18.1 |

---

Fe2CuI6Br2: theoretical powder diffractogram (Cu Kα (weighted mean of Kα1 and Kα2)), based on a DFT-relaxed cell (GGA-PBE, Alexandria).
Lines closer than 0.1° are merged.

Atomic structure:
abc: 7.1273 7.1273 9.9424
angles: 90.00 90.00 120.00
Fractional coordinates of all 11 atoms:
Fe 0.3333 0.6667 0.2490
Fe 0.6667 0.3333 0.7510
Cu 0.0000 0.0000 0.5000
I 0.9995 0.3181 0.6681
I 0.0005 0.6819 0.3319
I 0.3181 0.3185 0.3319
I 0.3185 0.0005 0.6681
I 0.6815 0.9995 0.3319
I 0.6819 0.6815 0.6681
Br 0.3333 0.6667 0.0187
Br 0.6667 0.3333 0.9813

Peak list (6 most intense, 10 to 90 degrees two-theta, by angle)
| d_spacing | 2theta | I/Imax |
| --- | --- | --- |
| 5.244 | 16.9 | 33.9 |
| 3.355 | 26.6 | 100.0 |
| 3.314 | 26.9 | 28.6 |
| 2.896 | 30.9 | 68.3 |
| 2.057 | 44.0 | 37.4 |
| 2.039 | 44.4 | 36.1 |

---

Cs4Tl4Au: theoretical powder diffractogram (Cu Kα (weighted mean of Kα1 and Kα2)), based on a DFT-relaxed cell (GGA-PBE, Alexandria).
Lines closer than 0.1° are merged.

Atomic structure:
abc: 11.1148 11.1148 11.1148
angles: 144.71 144.71 50.77
Fractional coordinates of all 9 atoms:
Cs 0.1166 0.1166 0.5372
Cs 0.4206 0.8834 0.0000
Cs 0.5794 0.5794 0.4628
Cs 0.8834 0.4206 0.0000
Tl 0.1627 0.7399 0.0000
Tl 0.2601 0.2601 0.4228
Tl 0.7399 0.1627 0.0000
Tl 0.8373 0.8373 0.5772
Au 0.5000 0.5000 0.0000

Peak list (6 most intense, 10 to 90 degrees two-theta, by angle)
| d_spacing | 2theta | I/Imax |
| --- | --- | --- |
| 3.456 | 25.8 | 100.0 |
| 3.369 | 26.5 | 42.4 |
| 2.739 | 32.7 | 49.0 |
| 2.382 | 37.8 | 28.0 |
| 1.961 | 46.3 | 28.2 |
| 1.725 | 53.1 | 24.6 |

---

Hf6Tc5As: theoretical powder diffractogram (Cu Kα (weighted mean of Kα1 and Kα2)), based on a DFT-relaxed cell (GGA-PBE, Alexandria).
Lines closer than 0.1° are merged.

Atomic structure:
abc: 7.9980 7.9980 7.9980
angles: 146.53 131.05 60.60
Fractional coordinates of all 12 atoms:
Hf 0.0748 0.3302 0.7446
Hf 0.2376 0.0000 0.2376
Hf 0.4144 0.6698 0.7446
Hf 0.5856 0.3302 0.2554
Hf 0.7624 0.0000 0.7624
Hf 0.9252 0.6698 0.2554
Tc 0.0000 0.5000 0.5000
Tc 0.1678 0.1678 0.0000
Tc 0.3370 0.8370 0.5000
Tc 0.6630 0.1630 0.5000
Tc 0.8322 0.8322 0.0000
As 0.5000 0.5000 0.0000

Peak list (6 most intense, 10 to 90 degrees two-theta, by angle)
| d_spacing | 2theta | I/Imax |
| --- | --- | --- |
| 2.322 | 38.8 | 100.0 |
| 2.302 | 39.1 | 49.0 |
| 1.628 | 56.5 | 16.7 |
| 1.345 | 70.0 | 17.1 |
| 1.333 | 70.7 | 33.8 |
| 1.161 | 83.2 | 10.7 |

---

VPd7: theoretical powder diffractogram (Cu Kα (weighted mean of Kα1 and Kα2)), based on a DFT-relaxed cell (GGA-PBE, Alexandria).
Lines closer than 0.1° are merged.

Atomic structure:
abc: 3.9295 3.9295 15.5891
angles: 90.00 90.00 90.00
Fractional coordinates of all 16 atoms:
V 0.0000 0.0000 0.0000
V 0.5000 0.5000 0.5000
Pd 0.0000 0.0000 0.2509
Pd 0.0000 0.0000 0.5000
Pd 0.0000 0.0000 0.7491
Pd 0.0000 0.5000 0.1192
Pd 0.0000 0.5000 0.3808
Pd 0.0000 0.5000 0.6192
Pd 0.0000 0.5000 0.8808
Pd 0.5000 0.0000 0.1192
Pd 0.5000 0.0000 0.3808
Pd 0.5000 0.0000 0.6192
Pd 0.5000 0.0000 0.8808
Pd 0.5000 0.5000 0.0000
Pd 0.5000 0.5000 0.2491
Pd 0.5000 0.5000 0.7509

Peak list (6 most intense, 10 to 90 degrees two-theta, by angle)
| d_spacing | 2theta | I/Imax |
| --- | --- | --- |
| 2.262 | 39.8 | 100.0 |
| 1.965 | 46.2 | 32.8 |
| 1.949 | 46.6 | 15.3 |
| 1.384 | 67.7 | 19.4 |
| 1.184 | 81.3 | 23.9 |
| 1.177 | 81.9 | 10.7 |